Starting from a DFT-relaxed cell (GGA-PBE, Alexandria), the X-ray diffraction stick pattern of Sr2LiZn3Ag4 was computed for Cu Kα, 1.54184 Å.

Top 6 peaks for 2θ = 5–70°, by angle:
2.832 Å, I 73, (1 0 3)
2.775 Å, I 100, (1 1 2)
2.285 Å, I 82, (2 0 0)
2.075 Å, I 41, (1 1 4)
1.956 Å, I 32, (1 0 5)
1.778 Å, I 36, (2 1 3)

Atomic structure:
Cell: 4.570 4.570 10.824 Å, 90.00 90.00 90.00°
Atoms (fractional coordinates):
Sr 0.000 0.500 0.244
Sr 0.500 0.000 0.756
Li 0.000 0.000 0.500
Zn 0.000 0.500 0.871
Zn 0.500 0.000 0.129
Zn 0.500 0.500 0.500
Ag 0.000 0.000 0.000
Ag 0.000 0.500 0.631
Ag 0.500 0.000 0.369
Ag 0.500 0.500 0.000